Computed powder XRD pattern
Compound: MgMn6O11F
Radiation: CuKα
Structure: a crystal structure in the Materials Project, relaxed with PBE+U

Structure:
```
MgMn6O11F
1.0
4.9845 0.0000 0.0000
0.0000 8.6298 0.0000
-0.9641 0.0000 5.0146
Mg Mn O F
1 6 11 1
Direct
0.0000 0.0000 0.0000
0.0439 0.5000 0.4000
0.4769 0.3287 0.9631
0.4769 0.6713 0.9631
0.4870 0.0000 0.9475
0.9344 0.1773 0.5020
0.9344 0.8227 0.5020
0.1599 0.0000 0.6639
0.2086 0.3308 0.6264
0.2086 0.6692 0.6264
0.2949 0.5000 0.1019
0.3060 0.1617 0.1003
0.3060 0.8383 0.1003
0.6908 0.1600 0.8142
0.6908 0.8400 0.8142
0.7719 0.3392 0.2775
0.7719 0.6608 0.2775
0.7783 0.0000 0.2779
0.6644 0.5000 0.8165
```

Peak list (10 most intense, 10 to 90 degrees two-theta, low angle first)
2θ 22.87, d 3.889, I 100; 2θ 27.77, d 3.213, I 63; 2θ 35.81, d 2.507, I 17; 2θ 35.99, d 2.495, I 33; 2θ 36.22, d 2.480, I 31; 2θ 49.14, d 1.854, I 17; 2θ 49.67, d 1.836, I 28; 2θ 54.48, d 1.684, I 15; 2θ 54.96, d 1.671, I 25; 2θ 64.47, d 1.445, I 18

Computed powder XRD pattern
Compound: KMoO3
Radiation: CuKα
Structure: a crystal structure in the Materials Project, relaxed with PBE+U

Structure:
```
KMoO3
1.0
4.0048 0.0000 0.0000
0.0000 4.0048 0.0000
0.0000 0.0000 4.0048
K Mo O
1 1 3
Direct
0.0000 0.0000 0.0000
0.5000 0.5000 0.5000
0.0000 0.5000 0.5000
0.5000 0.0000 0.5000
0.5000 0.5000 0.0000
```

Peak list (10 most intense, 10 to 90 degrees two-theta, low angle first)
2θ 22.20, d 4.005, I 46; 2θ 31.59, d 2.832, I 100; 2θ 45.29, d 2.002, I 40; 2θ 50.99, d 1.791, I 18; 2θ 56.27, d 1.635, I 37; 2θ 65.98, d 1.416, I 23; 2θ 70.55, d 1.335, I 8; 2θ 75.00, d 1.266, I 16; 2θ 83.65, d 1.156, I 8; 2θ 87.90, d 1.111, I 4

Computed powder XRD pattern
Compound: La7Mo7O30
Radiation: CuKα
Structure: a crystal structure in the Materials Project, relaxed with PBE+U

Structure:
```
La7Mo7O30
1.0
8.6300 4.9825 2.3126
-8.6300 4.9825 2.3126
0.0000 -9.9651 2.3126
La Mo O
7 7 30
Direct
0.0000 0.0000 0.0000
0.1089 0.3396 0.5332
0.3396 0.5332 0.1089
0.4668 0.8911 0.6604
0.5332 0.1089 0.3396
0.6604 0.4668 0.8911
0.8911 0.6604 0.4668
0.0126 0.6330 0.8376
0.1624 0.9874 0.3670
0.3670 0.1624 0.9874
0.5000 0.5000 0.5000
0.6330 0.8376 0.0126
0.8376 0.0126 0.6330
0.9874 0.3670 0.1624
0.0102 0.7813 0.0704
0.0247 0.5156 0.3780
0.0436 0.2386 0.7045
0.0704 0.0102 0.7813
0.1911 0.3712 0.3408
0.2187 0.9296 0.9898
0.2251 0.6054 0.2731
0.2386 0.7045 0.0436
0.2731 0.2251 0.6054
0.2955 0.9564 0.7614
0.3408 0.1911 0.3712
0.3712 0.3408 0.1911
0.3780 0.0247 0.5156
0.3946 0.7269 0.7749
0.4844 0.6220 0.9753
0.5156 0.3780 0.0247
0.6054 0.2731 0.2251
0.6220 0.9753 0.4844
0.6288 0.6592 0.8089
0.6592 0.8089 0.6288
0.7045 0.0436 0.2386
0.7269 0.7749 0.3946
0.7614 0.2955 0.9564
0.7749 0.3946 0.7269
0.7813 0.0704 0.0102
0.8089 0.6288 0.6592
0.9296 0.9898 0.2187
0.9564 0.7614 0.2955
0.9753 0.4844 0.6220
0.9898 0.2187 0.9296
```

Peak list (10 most intense, 10 to 90 degrees two-theta, low angle first)
2θ 20.58, d 4.315, I 15; 2θ 27.34, d 3.262, I 100; 2θ 30.23, d 2.956, I 66; 2θ 33.69, d 2.660, I 17; 2θ 45.22, d 2.005, I 38; 2θ 47.74, d 1.905, I 15; 2θ 51.35, d 1.779, I 22; 2θ 53.06, d 1.726, I 15; 2θ 55.38, d 1.659, I 19; 2θ 65.89, d 1.418, I 17

Computed powder XRD pattern
Compound: Li8Mn3Fe5B8O24
Radiation: CuKα
Structure: a crystal structure in the Materials Project, relaxed with PBE+U

Structure:
```
Li8Mn3Fe5B8O24
1.0
5.2416 0.0000 0.0000
-2.6129 4.5452 0.0000
-0.3111 -0.4041 20.8150
Li Mn Fe B O
8 3 5 8 24
Direct
0.0000 0.0000 0.0000
0.0006 0.0019 0.4990
0.0245 0.9758 0.7493
0.0265 0.9764 0.2482
0.6829 0.6713 0.3742
0.6857 0.6704 0.8738
0.6949 0.6592 0.6236
0.6990 0.6642 0.1241
0.0199 0.3305 0.8570
0.3482 0.6466 0.2326
0.6708 0.3232 0.4822
0.0225 0.3232 0.3568
0.3446 0.9922 0.6080
0.3547 0.6471 0.7309
0.3610 0.9944 0.1053
0.6642 0.3258 0.9824
0.0163 0.3302 0.1027
0.0169 0.3302 0.6043
0.3417 0.6599 0.9792
0.3439 0.6632 0.4783
0.3541 0.9911 0.8534
0.3538 0.9935 0.3537
0.6854 0.3199 0.7280
0.6863 0.3189 0.2283
0.0016 0.0584 0.5976
0.0021 0.0629 0.0965
0.0794 0.9669 0.8460
0.0816 0.9752 0.3475
0.0878 0.3934 0.9651
0.0943 0.3930 0.4628
0.2785 0.5820 0.1225
0.2805 0.5780 0.6235
0.3136 0.9004 0.4991
0.3228 0.9062 0.9976
0.3751 0.7428 0.3394
0.3868 0.7481 0.8376
0.4159 0.0654 0.7140
0.4159 0.0699 0.2128
0.5955 0.2534 0.8749
0.6026 0.2563 0.3727
0.6168 0.6815 0.9727
0.6205 0.6929 0.4717
0.7055 0.5936 0.7217
0.7161 0.5959 0.2213
0.7663 0.3561 0.0883
0.7668 0.3511 0.5900
0.9247 0.2897 0.2490
0.9309 0.3012 0.7469
```

Peak list (10 most intense, 10 to 90 degrees two-theta, low angle first)
2θ 19.55, d 4.540, I 67; 2θ 21.36, d 4.160, I 39; 2θ 21.50, d 4.132, I 62; 2θ 25.76, d 3.459, I 45; 2θ 26.31, d 3.388, I 30; 2θ 34.20, d 2.622, I 87; 2θ 34.47, d 2.602, I 100; 2θ 40.46, d 2.229, I 45; 2θ 40.70, d 2.217, I 23; 2θ 61.19, d 1.515, I 22

Computed powder XRD pattern
Compound: Ti3NiSb2P6O24
Radiation: CuKα
Structure: a crystal structure in the Materials Project, relaxed with PBE+U

Structure:
```
Ti3NiSb2P6O24
1.0
4.3597 2.5171 7.3076
-4.3597 2.5171 7.3076
0.0000 -5.0342 7.3076
Ti Ni Sb P O
3 1 2 6 24
Direct
0.0000 0.0000 0.0000
0.2051 0.2051 0.2051
0.5036 0.5036 0.5036
0.7044 0.7044 0.7044
0.3501 0.3501 0.3501
0.8451 0.8451 0.8451
0.1050 0.8132 0.3948
0.3151 0.6062 0.8959
0.3948 0.1050 0.8132
0.6062 0.8959 0.3151
0.8132 0.3948 0.1050
0.8959 0.3151 0.6062
0.0488 0.8514 0.2383
0.0885 0.2895 0.4356
0.1227 0.7692 0.9172
0.1602 0.9717 0.3552
0.2383 0.0488 0.8514
0.2712 0.6238 0.4146
0.2895 0.4356 0.0885
0.3491 0.5501 0.7390
0.3552 0.1602 0.9717
0.4146 0.2712 0.6238
0.4356 0.0885 0.2895
0.4695 0.6530 0.8687
0.5501 0.7390 0.3491
0.5875 0.9401 0.7963
0.6238 0.4146 0.2712
0.6530 0.8687 0.4695
0.7390 0.3491 0.5501
0.7692 0.9172 0.1227
0.7963 0.5875 0.9401
0.8514 0.2383 0.0488
0.8687 0.4695 0.6530
0.9172 0.1227 0.7692
0.9401 0.7963 0.5875
0.9717 0.3552 0.1602
```

Peak list (10 most intense, 10 to 90 degrees two-theta, low angle first)
2θ 14.24, d 6.218, I 25; 2θ 20.37, d 4.360, I 100; 2θ 23.77, d 3.744, I 68; 2θ 24.94, d 3.570, I 31; 2θ 31.96, d 2.800, I 95; 2θ 35.67, d 2.517, I 38; 2θ 45.91, d 1.977, I 29; 2θ 48.64, d 1.872, I 34; 2θ 55.79, d 1.648, I 25; 2θ 61.76, d 1.502, I 25